[1]
Starting from a DFT-relaxed cell (PBE, OQMD), the XRD peak list of Al3W2 was simulated for Cu Kα (weighted mean of Kα1 and Kα2).

Structure:
```
Al3W2
1.0
9.664 0.000 0.000
0.000 9.664 0.000
0.000 0.000 4.938
Al W
18 12
Direct
0.000 0.000 0.000 Al
0.057 0.262 0.000 Al
0.189 0.811 0.250 Al
0.189 0.811 0.750 Al
0.238 0.557 0.500 Al
0.262 0.057 0.000 Al
0.311 0.311 0.250 Al
0.311 0.311 0.750 Al
0.443 0.762 0.500 Al
0.500 0.500 0.500 Al
0.557 0.238 0.500 Al
0.689 0.689 0.250 Al
0.689 0.689 0.750 Al
0.738 0.943 0.000 Al
0.762 0.443 0.500 Al
0.811 0.189 0.250 Al
0.811 0.189 0.750 Al
0.943 0.738 0.000 Al
0.029 0.363 0.500 W
0.103 0.103 0.500 W
0.137 0.529 0.000 W
0.363 0.029 0.500 W
0.397 0.603 0.000 W
0.471 0.863 0.000 W
0.529 0.137 0.000 W
0.603 0.397 0.000 W
0.637 0.971 0.500 W
0.863 0.471 0.000 W
0.897 0.897 0.500 W
0.971 0.637 0.500 W
```

Peak list (10 most intense, 10° ≤ 2θ ≤ 90°, by angle)
2θ (°)  d/Å  intensity
12.96  6.833  25
18.36  4.832  30
20.19  4.397  53
33.21  2.698  25
34.52  2.599  32
36.39  2.469  34
39.57  2.278  22
42.70  2.117  100
43.77  2.068  24
69.82  1.347  24

[2]
Starting from a DFT-relaxed cell (PBE, OQMD), the XRD peak list of Al8W5 was simulated for Cu Kα (weighted mean of Kα1 and Kα2).

Structure:
```
Al8W5
1.0
2.555 1.475 9.014
-2.555 1.475 9.014
0.000 -2.950 9.014
Al W
8 5
Direct
0.089 0.585 0.585 Al
0.152 0.152 0.152 Al
0.415 0.415 0.911 Al
0.415 0.911 0.415 Al
0.585 0.089 0.585 Al
0.585 0.585 0.089 Al
0.848 0.848 0.848 Al
0.911 0.415 0.415 Al
0.043 0.043 0.043 W
0.331 0.331 0.331 W
0.500 0.500 0.500 W
0.669 0.669 0.669 W
0.957 0.957 0.957 W
```

Peak list (10 most intense, 10° ≤ 2θ ≤ 90°, by angle)
2θ (°)  d/Å  intensity
19.70  4.507  28
21.13  4.205  29
30.72  2.910  21
35.13  2.555  100
36.56  2.458  32
40.59  2.222  64
42.04  2.149  53
48.35  1.883  20
63.03  1.475  19
67.77  1.383  26

[3]
Starting from a DFT-relaxed cell (PBE, OQMD), the XRD peak list of Al8W7 was simulated for Cu Kα (weighted mean of Kα1 and Kα2).

Structure:
```
Al8W7
1.0
9.557 0.000 0.000
0.000 9.557 0.000
0.000 0.000 5.165
Al W
16 14
Direct
0.039 0.365 0.000 Al
0.069 0.264 0.500 Al
0.135 0.539 0.500 Al
0.236 0.569 0.000 Al
0.264 0.069 0.500 Al
0.365 0.039 0.000 Al
0.431 0.764 0.000 Al
0.461 0.865 0.500 Al
0.539 0.135 0.500 Al
0.569 0.236 0.000 Al
0.635 0.961 0.000 Al
0.736 0.931 0.500 Al
0.764 0.431 0.000 Al
0.865 0.461 0.500 Al
0.931 0.736 0.500 Al
0.961 0.635 0.000 Al
0.000 0.000 0.500 W
0.102 0.102 0.000 W
0.180 0.820 0.252 W
0.180 0.820 0.748 W
0.320 0.320 0.248 W
0.320 0.320 0.752 W
0.398 0.602 0.500 W
0.500 0.500 0.000 W
0.602 0.398 0.500 W
0.680 0.680 0.248 W
0.680 0.680 0.752 W
0.820 0.180 0.252 W
0.820 0.180 0.748 W
0.898 0.898 0.000 W
```

Peak list (10 most intense, 10° ≤ 2θ ≤ 90°, by angle)
2θ (°)  d/Å  intensity
13.10  6.758  100
20.78  4.274  22
26.38  3.379  16
33.82  2.651  15
38.85  2.318  50
39.67  2.272  38
40.03  2.253  30
40.83  2.210  68
42.76  2.115  30
67.73  1.383  29